The following is a computed XRD peak list of Na2Pu2I2Cl5. It was derived from a structure optimized by DFT (GGA-PBE), using Cu Kα (weighted mean of Kα1 and Kα2).
Kinematic intensities with the Lorentz-polarization factor, no thermal factor.

Atomic structure:
Cell: 14.482 14.482 14.482 Å, 158.17 158.17 31.06°
Element x y z (fractional)
Na1 0.178 0.178 0.000
Na2 0.822 0.822 0.000
Pu1 0.402 0.402 0.000
Pu2 0.598 0.598 0.000
I1 0.289 0.289 0.000
I2 0.711 0.711 0.000
Cl1 0.110 0.610 0.500
Cl2 0.390 0.890 0.500
Cl3 0.500 0.500 0.000
Cl4 0.610 0.110 0.500
Cl5 0.890 0.390 0.500

Most intense lines, 10 to 80 degrees two-theta, in order of rising 2θ:
| Position (°2θ) | I_rel |
| --- | --- |
| 12.7 | 24 |
| 16.5 | 100 |
| 22.9 | 47 |
| 27.7 | 22 |
| 32.7 | 41 |
| 33.2 | 34 |
| 36.8 | 28 |
| 39.8 | 19 |
| 46.4 | 23 |
| 47.3 | 25 |

=====

The following is a computed XRD peak list of TbHo4Bi. It was derived from a structure optimized by DFT (GGA-PBE), using Cu Kα (weighted mean of Kα1 and Kα2).
Kinematic intensities with the Lorentz-polarization factor, no thermal factor.

Atomic structure:
Cell: 5.175 5.175 7.801 Å, 90.00 90.00 90.00°
Element x y z (fractional)
Tb1 0.000 0.000 0.000
Ho1 0.000 0.500 0.244
Ho2 0.000 0.500 0.756
Ho3 0.500 0.000 0.244
Ho4 0.500 0.000 0.756
Bi1 0.500 0.500 0.500

Most intense lines, 10 to 80 degrees two-theta, in order of rising 2θ:
| Position (°2θ) | I_rel |
| --- | --- |
| 20.6 | 43 |
| 24.3 | 9 |
| 33.6 | 100 |
| 34.7 | 46 |
| 40.7 | 15 |
| 46.6 | 10 |
| 49.8 | 17 |
| 59.3 | 20 |
| 61.4 | 36 |
| 70.6 | 12 |

=====

The following is a computed XRD peak list of Pr4Nd3Y5. It was derived from a structure optimized by DFT (GGA-PBE), using Cu Kα (weighted mean of Kα1 and Kα2).
Kinematic intensities with the Lorentz-polarization factor, no thermal factor.

Atomic structure:
Cell: 6.319 7.289 8.930 Å, 90.13 90.09 90.02°
Element x y z (fractional)
Pr1 0.168 0.249 0.169
Pr2 0.331 0.500 0.832
Pr3 0.669 0.500 0.168
Pr4 0.832 0.751 0.831
Nd1 0.000 0.000 0.500
Nd2 0.168 0.751 0.169
Nd3 0.832 0.249 0.831
Y1 0.000 0.500 0.500
Y2 0.333 0.000 0.831
Y3 0.500 0.248 0.500
Y4 0.500 0.752 0.500
Y5 0.667 0.000 0.169

Most intense lines, 10 to 80 degrees two-theta, in order of rising 2θ:
| Position (°2θ) | I_rel |
| --- | --- |
| 15.7 | 1 |
| 21.1 | 1 |
| 30.0 | 100 |
| 34.8 | 50 |
| 50.0 | 36 |
| 59.4 | 28 |
| 59.5 | 14 |
| 62.4 | 12 |
| 73.4 | 4 |
| 73.6 | 2 |

=====

The following is a computed XRD peak list of Cr5Si3. It was derived from a structure optimized by DFT (GGA-PBE), using Cu Kα (weighted mean of Kα1 and Kα2).
Kinematic intensities with the Lorentz-polarization factor, no thermal factor.

Atomic structure:
Cell: 6.812 6.812 6.812 Å, 96.50 96.50 140.69°
Element x y z (fractional)
Cr1 0.076 0.772 0.848
Cr2 0.228 0.076 0.305
Cr3 0.250 0.750 0.500
Cr4 0.272 0.576 0.848
Cr5 0.424 0.272 0.695
Cr6 0.576 0.728 0.305
Cr7 0.728 0.424 0.152
Cr8 0.750 0.250 0.500
Cr9 0.772 0.924 0.695
Cr10 0.924 0.228 0.152
Si1 0.167 0.333 0.500
Si2 0.250 0.250 0.000
Si3 0.333 0.833 0.166
Si4 0.667 0.167 0.834
Si5 0.750 0.750 0.000
Si6 0.833 0.667 0.500

Most intense lines, 10 to 80 degrees two-theta, in order of rising 2θ:
| Position (°2θ) | I_rel |
| --- | --- |
| 39.3 | 25 |
| 39.7 | 16 |
| 40.9 | 59 |
| 44.3 | 45 |
| 44.7 | 64 |
| 45.7 | 100 |
| 48.8 | 49 |
| 58.4 | 13 |
| 75.3 | 13 |
| 75.8 | 20 |

=====

The following is a computed XRD peak list of SrNdHf4O12. It was derived from a structure optimized by DFT (GGA-PBE), using Cu Kα (weighted mean of Kα1 and Kα2).
Kinematic intensities with the Lorentz-polarization factor, no thermal factor.

Atomic structure:
Cell: 8.227 5.759 5.759 Å, 89.94 90.00 90.00°
Element x y z (fractional)
Sr1 0.000 0.000 0.000
Nd1 0.500 0.428 0.428
Hf1 0.251 0.476 0.950
Hf2 0.251 0.950 0.476
Hf3 0.749 0.476 0.950
Hf4 0.749 0.950 0.476
O1 0.000 0.491 0.943
O2 0.000 0.943 0.491
O3 0.238 0.175 0.755
O4 0.238 0.755 0.175
O5 0.244 0.245 0.245
O6 0.305 0.654 0.654
O7 0.500 0.024 0.457
O8 0.500 0.457 0.024
O9 0.695 0.654 0.654
O10 0.756 0.245 0.245
O11 0.762 0.175 0.755
O12 0.762 0.755 0.175

Most intense lines, 10 to 80 degrees two-theta, in order of rising 2θ:
| Position (°2θ) | I_rel |
| --- | --- |
| 18.8 | 26 |
| 21.6 | 24 |
| 21.8 | 47 |
| 30.9 | 100 |
| 31.1 | 50 |
| 44.0 | 16 |
| 44.5 | 27 |
| 54.9 | 22 |
| 55.2 | 39 |
| 64.4 | 16 |

=====

The following is a computed XRD peak list of Rb3TlCl6. It was derived from a structure optimized by DFT (GGA-PBE), using Cu Kα (weighted mean of Kα1 and Kα2).
Kinematic intensities with the Lorentz-polarization factor, no thermal factor.

Atomic structure:
Cell: 13.498 8.105 12.869 Å, 90.00 107.84 90.00°
Element x y z (fractional)
Rb1 0.090 0.060 0.353
Rb2 0.090 0.440 0.853
Rb3 0.318 0.571 0.266
Rb4 0.318 0.929 0.766
Rb5 0.319 0.072 0.118
Rb6 0.319 0.428 0.618
Rb7 0.681 0.572 0.382
Rb8 0.681 0.928 0.882
Rb9 0.682 0.071 0.234
Rb10 0.682 0.429 0.734
Rb11 0.910 0.560 0.147
Rb12 0.910 0.940 0.647
Tl1 0.000 0.000 0.000
Tl2 0.000 0.500 0.500
Tl3 0.500 0.000 0.500
Tl4 0.500 0.500 0.000
Cl1 0.094 0.225 0.599
Cl2 0.094 0.275 0.099
Cl3 0.124 0.002 0.879
Cl4 0.124 0.498 0.379
Cl5 0.130 0.678 0.653
Cl6 0.130 0.822 0.153
Cl7 0.350 0.210 0.396
Cl8 0.350 0.290 0.896
Cl9 0.351 0.703 0.007
Cl10 0.351 0.797 0.507
Cl11 0.500 0.133 0.689
Cl12 0.500 0.367 0.189
Cl13 0.500 0.633 0.811
Cl14 0.500 0.867 0.311
Cl15 0.649 0.203 0.493
Cl16 0.649 0.297 0.993
Cl17 0.650 0.710 0.104
Cl18 0.650 0.790 0.604
Cl19 0.870 0.178 0.847
Cl20 0.870 0.322 0.347
Cl21 0.876 0.502 0.621
Cl22 0.876 0.998 0.121
Cl23 0.906 0.725 0.901
Cl24 0.906 0.775 0.401

Most intense lines, 10 to 80 degrees two-theta, in order of rising 2θ:
| Position (°2θ) | I_rel |
| --- | --- |
| 13.7 | 100 |
| 15.8 | 48 |
| 21.9 | 32 |
| 22.6 | 66 |
| 22.9 | 27 |
| 23.5 | 97 |
| 31.9 | 60 |
| 33.7 | 25 |
| 35.2 | 33 |
| 48.0 | 32 |